Entry 1:
# Sm12Mg2Al5
Computed XRD peak list, copper Kα. Input: a GGA-PBE-relaxed structure.
Intensities are scaled so that the largest is 100.

Top 10 peaks for 2θ from 5° to 70°, sorted by position:
- 2θ 14.85, I 18, hkl 1 1 -1
- 2θ 20.97, I 20, hkl 0 0 2
- 2θ 25.78, I 19, hkl 3 1 1
- 2θ 27.23, I 59, hkl 4 0 0
- 2θ 29.97, I 71, hkl 2 2 -2
- 2θ 30.61, I 50, hkl 1 3 1
- 2θ 32.34, I 100, hkl 2 2 2
- 2θ 32.92, I 41, hkl 2 0 -3
- 2θ 35.32, I 48, hkl 3 3 -1
- 2θ 52.99, I 19, hkl 6 2 2

Atomic structure:
Lattice parameters (Å, degrees): 13.204 9.720 8.540 90.00 97.19 90.00
Space group C2/m (No. 12)
Inequivalent atoms, fractional coordinates:
Sm1 0.102 0.000 0.183
Sm2 0.104 0.500 0.655
Sm3 0.124 0.200 0.867
Sm4 0.151 0.319 0.308
Mg1 0.000 0.160 0.500
Al1 0.000 0.500 0.000
Al2 0.181 0.000 0.533
Al3 0.203 0.500 0.006

=====

Entry 2:
# Sm4MgAl3
Computed XRD peak list, copper Kα. Input: a GGA-PBE-relaxed structure.
Intensities are scaled so that the largest is 100.

Top 6 peaks for 2θ from 5° to 70°, sorted by position:
- 2θ 23.95, I 59, hkl 2 0 1
- 2θ 34.13, I 100, hkl 4 0 0
- 2θ 42.13, I 18, hkl 4 2 0
- 2θ 49.04, I 18, hkl 4 0 2
- 2θ 55.29, I 25, hkl 6 0 1
- 2θ 61.10, I 37, hkl 6 2 1

Atomic structure:
Lattice parameters (Å, degrees): 10.504 7.436 5.252 90.00 90.00 90.00
Space group Pmma (No. 51)
Inequivalent atoms, fractional coordinates:
Sm1 0.000 0.246 0.000
Sm2 0.250 0.246 0.499
Mg1 0.000 0.500 0.500
Al1 0.000 0.000 0.500
Al2 0.250 0.000 0.999
Al3 0.250 0.500 0.999

=====

Entry 3:
# Sm3Mg7Al2
Computed XRD peak list, copper Kα. Input: a GGA-PBE-relaxed structure.
Intensities are scaled so that the largest is 100.

Top 10 peaks for 2θ from 5° to 70°, sorted by position:
- 2θ 17.35, I 67, hkl 1 0 1
- 2θ 18.56, I 27, hkl 0 0 6
- 2θ 27.73, I 79, hkl 1 0 7
- 2θ 29.80, I 77, hkl 1 1 0
- 2θ 30.29, I 40, hkl 0 1 8
- 2θ 34.69, I 39, hkl 0 2 1
- 2θ 35.34, I 100, hkl 1 1 6
- 2θ 51.63, I 29, hkl 2 1 7
- 2θ 56.54, I 26, hkl 3 0 6
- 2θ 61.89, I 19, hkl 2 2 0

Atomic structure:
Lattice parameters (Å, degrees): 5.9964 5.9964 28.6843 90.00 90.00 120.00
Space group R-3m (No. 166, hexagonal axes)
Inequivalent atoms, fractional coordinates:
Sm1 0.0000 0.0000 0.0000
Sm2 0.0000 0.0000 0.1445
Mg1 0.0000 0.0000 0.5000
Mg2 0.0042 0.5021 0.9200
Al1 0.0000 0.0000 0.3342